# Na2PmCoF8
Computed powder XRD pattern, λ = 1.5418 Å (Cu Kα). Input: a structure optimized by DFT (GGA+U).
Kinematic intensities with the Lorentz-polarization factor, no thermal factor.

Structural model:
```
data_Na2PmCoF8
_chemical_formula_sum 'Na2 Pm1 Co1 F8'
_symmetry_space_group_name_H-M 'P 1 2/m 1'
_symmetry_Int_Tables_number 10
_cell_length_a 4.5119
_cell_length_b 6.9936
_cell_length_c 5.3884
_cell_angle_alpha 90.00
_cell_angle_beta 91.76
_cell_angle_gamma 90.00
loop_
_symmetry_equiv_pos_as_xyz
'x,y,z'
'-x,-y,-z'
'-x,y,-z'
'x,-y,z'
loop_
_atom_site_label
_atom_site_fract_x
_atom_site_fract_y
_atom_site_fract_z
Na1 0.0000 0.2358 0.0000
Pm1 0.5000 0.5000 0.5000
Co1 0.5000 0.0000 0.5000
F1 0.0965 0.5000 0.2478
F2 0.1776 0.0000 0.2845
F3 0.3606 0.2218 0.7067
```

Peak list (8 most intense, 2θ = 15–90°, by angle)
(0 0 1), 16.46°, rel. 100.0
(1 0 0), 19.69°, rel. 46.7
(1 0 -1), 25.37°, rel. 70.7
(1 0 1), 26.16°, rel. 66.7
(0 2 1), 30.48°, rel. 73.8
(1 2 -1), 36.26°, rel. 50.5
(1 2 -2), 46.65°, rel. 53.6
(1 2 2), 47.59°, rel. 31.1